# CeCuGe
Calculated powder X-ray diffraction pattern, CuKα. Input: a crystal structure in the Materials Project, relaxed with GGA-PBE.

Atomic structure:
a b c (Å): 4.2760 4.2760 7.8120
angles (deg): 90.00 90.00 120.00
Positions (direct):
Ce 0.0000 0.0000 0.0000
Ce 0.0000 0.0000 0.5000
Cu 0.3333 0.6667 0.2500
Cu 0.6667 0.3333 0.7500
Ge 0.3333 0.6667 0.7500
Ge 0.6667 0.3333 0.2500

Peak list (10 most intense, 10 to 80 degrees two-theta, by angle)
- hkl 1 0 0, 24.0°, rel. 11
- hkl 1 0 2, 33.3°, rel. 100
- hkl 1 1 0, 42.3°, rel. 46
- hkl 0 0 4, 46.5°, rel. 12
- hkl 1 0 4, 53.0°, rel. 3
- hkl 2 0 2, 54.9°, rel. 24
- hkl 1 1 4, 64.6°, rel. 25
- hkl 2 1 2, 71.6°, rel. 21
- hkl 3 0 0, 77.3°, rel. 7
- hkl 1 0 6, 77.8°, rel. 8